This entry pairs a crystal structure of Ca2FeWO6 with its theoretical powder diffraction line list. Radiation: Cu Kα (weighted mean of Kα1 and Kα2). Structure: a crystal structure in the Materials Project, relaxed with GGA+U.
Peak positions follow from Bragg's law for the DFT cell and can differ from measured ones.

Principal peaks in the range 2θ = 15–90°, low angle first:
2θ = 19.37°, intensity 40.1; 2θ = 22.40°, intensity 51.8; 2θ = 31.89°, intensity 100.0; 2θ = 37.58°, intensity 22.6; 2θ = 45.73°, intensity 36.8; 2θ = 51.49°, intensity 22.1; 2θ = 56.79°, intensity 28.8; 2θ = 56.94°, intensity 9.2; 2θ = 66.58°, intensity 10.8; 2θ = 66.74°, intensity 10.4

Structure:
abc: 5.6180 5.6180 13.7186
angles: 90.00 90.00 120.00
Space group R-3m (No. 166, hexagonal axes)
Unique sites:
Ca (0.0000, 0.0000, 0.2424) [6 per cell]
Fe (0.0000, 0.0000, 0.0000) [3 per cell]
W (0.0000, 0.0000, 0.5000) [3 per cell]
O (0.0032, 0.5016, 0.2479) [18 per cell]

---

This entry pairs a crystal structure of CaFeWO6 with its theoretical powder diffraction line list. Radiation: Cu Kα (weighted mean of Kα1 and Kα2). Structure: a crystal structure in the Materials Project, relaxed with GGA+U.
Peak positions follow from Bragg's law for the DFT cell and can differ from measured ones.

Principal peaks in the range 2θ = 15–90°, low angle first:
2θ = 19.61°, intensity 57.8; 2θ = 22.68°, intensity 100.0; 2θ = 32.29°, intensity 93.2; 2θ = 38.06°, intensity 31.9; 2θ = 46.32°, intensity 37.9; 2θ = 52.17°, intensity 40.4; 2θ = 57.59°, intensity 36.4; 2θ = 67.58°, intensity 21.8; 2θ = 72.30°, intensity 18.3; 2θ = 76.90°, intensity 15.7

Structure:
abc: 9.605 5.543 5.544
angles: 90.00 125.25 90.00
Space group Cm (No. 8)
Unique sites:
Ca (0.000, 0.000, 0.000) [2 per cell]
Fe (0.251, 0.000, 0.742) [2 per cell]
W (0.251, 0.500, 0.243) [2 per cell]
O (0.005, 0.500, 0.989) [2 per cell]
O (0.247, 0.252, 0.482) [4 per cell]
O (0.256, 0.255, 0.998) [4 per cell]
O (0.498, 0.500, 0.494) [2 per cell]

---

This entry pairs a crystal structure of Ca2FeWO6 with its theoretical powder diffraction line list. Radiation: Cu Kα (weighted mean of Kα1 and Kα2). Structure: a crystal structure in the Materials Project, relaxed with GGA+U.
Peak positions follow from Bragg's law for the DFT cell and can differ from measured ones.

Principal peaks in the range 2θ = 15–90°, low angle first:
2θ = 19.27°, intensity 29.8; 2θ = 19.48°, intensity 28.5; 2θ = 22.34°, intensity 53.2; 2θ = 22.55°, intensity 25.9; 2θ = 31.54°, intensity 25.7; 2θ = 31.95°, intensity 100.0; 2θ = 32.06°, intensity 25.1; 2θ = 45.59°, intensity 36.9; 2θ = 57.08°, intensity 19.2; 2θ = 66.80°, intensity 20.8

Structure:
abc: 5.584 7.885 5.674
angles: 90.00 90.00 90.00
Space group Pmm2 (No. 25)
Unique sites:
Ca (0.000, 0.238, 0.000) [2 per cell]
Ca (0.500, 0.241, 0.507) [2 per cell]
Fe (0.000, 0.000, 0.488) [1 per cell]
Fe (0.500, 0.500, 0.978) [1 per cell]
W (0.000, 0.500, 0.473) [1 per cell]
W (0.500, 0.000, 0.988) [1 per cell]
O (0.000, 0.249, 0.472) [2 per cell]
O (0.238, 0.500, 0.213) [2 per cell]
O (0.248, 0.000, 0.235) [2 per cell]
O (0.248, 0.000, 0.735) [2 per cell]
O (0.254, 0.500, 0.714) [2 per cell]
O (0.500, 0.246, 0.970) [2 per cell]

---

This entry pairs a crystal structure of CaZn2Fe4O8 with its theoretical powder diffraction line list. Radiation: Cu Kα (weighted mean of Kα1 and Kα2). Structure: a crystal structure in the Materials Project, relaxed with GGA+U.
Peak positions follow from Bragg's law for the DFT cell and can differ from measured ones.

Principal peaks in the range 2θ = 15–90°, low angle first:
2θ = 17.42°, intensity 35.3; 2θ = 27.53°, intensity 43.5; 2θ = 32.76°, intensity 89.3; 2θ = 33.12°, intensity 53.5; 2θ = 33.39°, intensity 45.7; 2θ = 33.60°, intensity 100.0; 2θ = 34.19°, intensity 39.8; 2θ = 44.46°, intensity 43.7; 2θ = 45.32°, intensity 58.3; 2θ = 52.66°, intensity 39.9

Structure:
abc: 6.195 6.481 8.931
angles: 90.00 90.00 90.00
Space group Imm2 (No. 44)
Unique sites:
Ca (0.000, 0.000, 0.000) [2 per cell]
Zn (0.220, 0.500, 0.255) [4 per cell]
Fe (0.000, 0.000, 0.324) [2 per cell]
Fe (0.000, 0.270, 0.579) [4 per cell]
Fe (0.000, 0.500, 0.882) [2 per cell]
O (0.000, 0.201, 0.797) [4 per cell]
O (0.000, 0.299, 0.351) [4 per cell]
O (0.212, 0.500, 0.634) [4 per cell]
O (0.228, 0.000, 0.536) [4 per cell]

---

This entry pairs a crystal structure of CaZn2Fe4O8 with its theoretical powder diffraction line list. Radiation: Cu Kα (weighted mean of Kα1 and Kα2). Structure: a crystal structure in the Materials Project, relaxed with GGA+U.
Peak positions follow from Bragg's law for the DFT cell and can differ from measured ones.

Principal peaks in the range 2θ = 15–90°, low angle first:
2θ = 29.13°, intensity 60.9; 2θ = 32.95°, intensity 74.1; 2θ = 33.15°, intensity 53.4; 2θ = 33.77°, intensity 52.4; 2θ = 34.17°, intensity 57.6; 2θ = 34.84°, intensity 88.0; 2θ = 39.69°, intensity 58.3; 2θ = 41.32°, intensity 100.0; 2θ = 56.82°, intensity 47.5; 2θ = 60.40°, intensity 73.5

Structure:
abc: 10.707 5.993 6.408
angles: 90.00 121.95 90.00
Space group C2/m (No. 12)
Unique sites:
Ca (0.000, 0.000, 0.000) [2 per cell]
Zn (0.250, 0.250, 0.000) [4 per cell]
Fe (0.000, 0.500, 0.000) [2 per cell]
Fe (0.000, 0.500, 0.500) [2 per cell]
Fe (0.158, 0.000, 0.470) [4 per cell]
O (0.018, 0.250, 0.279) [8 per cell]
O (0.230, 0.500, 0.177) [4 per cell]
O (0.249, 0.500, 0.728) [4 per cell]

---

This entry pairs a crystal structure of Ca3Mn2Ga2O10 with its theoretical powder diffraction line list. Radiation: Cu Kα (weighted mean of Kα1 and Kα2). Structure: a crystal structure in the Materials Project, relaxed with GGA+U.
Peak positions follow from Bragg's law for the DFT cell and can differ from measured ones.

Principal peaks in the range 2θ = 15–90°, low angle first:
2θ = 22.59°, intensity 46.7; 2θ = 22.79°, intensity 48.6; 2θ = 25.08°, intensity 45.9; 2θ = 25.58°, intensity 48.7; 2θ = 31.49°, intensity 64.5; 2θ = 33.09°, intensity 100.0; 2θ = 33.99°, intensity 58.0; 2θ = 34.26°, intensity 48.8; 2θ = 34.50°, intensity 55.2; 2θ = 46.11°, intensity 45.1

Structure:
abc: 5.415 5.684 7.887
angles: 109.52 109.06 90.48
Space group P1 (No. 1)
Unique sites:
Ca (0.000, 0.000, 0.000) [1 per cell]
Ca (0.220, 0.139, 0.451) [1 per cell]
Ca (0.513, 0.443, 0.039) [1 per cell]
Mn (0.100, 0.573, 0.242) [1 per cell]
Mn (0.604, 0.064, 0.241) [1 per cell]
Ga (0.408, 0.736, 0.725) [1 per cell]
Ga (0.895, 0.412, 0.722) [1 per cell]
O (0.207, 0.773, 0.501) [1 per cell]
O (0.251, 0.443, 0.735) [1 per cell]
O (0.314, 0.799, 0.185) [1 per cell]
O (0.347, 0.324, 0.252) [1 per cell]
O (0.430, 0.001, 0.949) [1 per cell]
O (0.701, 0.139, 0.506) [1 per cell]
O (0.746, 0.700, 0.729) [1 per cell]
O (0.831, 0.810, 0.186) [1 per cell]
O (0.869, 0.307, 0.257) [1 per cell]
O (0.925, 0.373, 0.954) [1 per cell]

---

This entry pairs a crystal structure of Ca3Mn2Ga2O10 with its theoretical powder diffraction line list. Radiation: Cu Kα (weighted mean of Kα1 and Kα2). Structure: a crystal structure in the Materials Project, relaxed with GGA+U.
Peak positions follow from Bragg's law for the DFT cell and can differ from measured ones.

Principal peaks in the range 2θ = 15–90°, low angle first:
2θ = 16.97°, intensity 42.7; 2θ = 22.66°, intensity 90.4; 2θ = 24.92°, intensity 41.7; 2θ = 25.31°, intensity 49.0; 2θ = 31.45°, intensity 65.9; 2θ = 33.06°, intensity 98.2; 2θ = 33.90°, intensity 100.0; 2θ = 34.55°, intensity 93.8; 2θ = 46.28°, intensity 79.1; 2θ = 51.97°, intensity 39.4

Structure:
abc: 5.691 5.418 15.046
angles: 90.00 110.67 90.00
Space group Pc (No. 7)
Unique sites:
Ca (0.000, 0.232, 0.000) [2 per cell]
Ca (0.556, 0.262, 0.483) [2 per cell]
Ca (0.855, 0.266, 0.775) [2 per cell]
Mn (0.420, 0.245, 0.880) [2 per cell]
Mn (0.930, 0.252, 0.379) [2 per cell]
Ga (0.259, 0.310, 0.638) [2 per cell]
Ga (0.587, 0.197, 0.140) [2 per cell]
O (0.190, 0.488, 0.907) [2 per cell]
O (0.201, 0.002, 0.908) [2 per cell]
O (0.222, 0.227, 0.751) [2 per cell]
O (0.297, 0.353, 0.135) [2 per cell]
O (0.554, 0.153, 0.634) [2 per cell]
O (0.625, 0.273, 0.024) [2 per cell]
O (0.688, 0.011, 0.873) [2 per cell]
O (0.688, 0.489, 0.876) [2 per cell]
O (0.859, 0.278, 0.248) [2 per cell]
O (0.997, 0.222, 0.527) [2 per cell]